[1]
V2ZnS5: calculated powder XRD pattern (CuKα), based on DFT lattice parameters and positions (GGA-PBE).

Structural model:
```
V2ZnS5
1.0
3.9959 0.0000 0.0000
0.0000 14.3231 0.0000
0.0000 0.0000 5.9370
V Zn S
4 2 10
direct
0.2500 0.0926 0.0836
0.2500 0.4074 0.0836
0.7500 0.5926 0.9164
0.7500 0.9074 0.9164
0.2500 0.7500 0.3182
0.7500 0.2500 0.6818
0.2500 0.1378 0.4192
0.2500 0.2500 0.9203
0.2500 0.3622 0.4192
0.2500 0.5729 0.1145
0.2500 0.9271 0.1145
0.7500 0.0729 0.8855
0.7500 0.4271 0.8855
0.7500 0.6378 0.5808
0.7500 0.7500 0.0797
0.7500 0.8622 0.5808
```

Most intense lines, 10 to 80 degrees two-theta, most intense first:
26.89 deg, d = 3.315 Å, I = 100, hkl 1 0 1; 39.87 deg, d = 2.261 Å, I = 58, hkl 1 2 2; 23.92 deg, d = 3.721 Å, I = 46, hkl 0 3 1; 14.92 deg, d = 5.937 Å, I = 46, hkl 0 0 1; 19.42 deg, d = 4.571 Å, I = 41, hkl 0 2 1; 45.39 deg, d = 1.998 Å, I = 40, hkl 2 0 0; 37.68 deg, d = 2.387 Å, I = 33, hkl 0 6 0; 38.29 deg, d = 2.351 Å, I = 32, hkl 1 1 2; 29.14 deg, d = 3.064 Å, I = 30, hkl 1 3 0; 34.77 deg, d = 2.580 Å, I = 28, hkl 0 5 1

[2]
WS2: calculated powder XRD pattern (CuKα), based on DFT lattice parameters and positions (GGA-PBE).

Structural model:
```
WS2
1.0
3.1907 0.0000 0.0000
-1.5954 2.7633 0.0000
0.0000 0.0000 17.1012
W S
1 2
direct
0.0000 0.0000 0.0000
0.3333 0.6667 0.0920
0.3333 0.6667 0.9080
```

Most intense lines, 10 to 80 degrees two-theta, most intense first:
10.35 deg, d = 8.551 Å, I = 100, hkl 0 0 2; 15.54 deg, d = 5.700 Å, I = 26, hkl 0 0 3; 38.80 deg, d = 2.321 Å, I = 25, hkl 1 0 4; 36.12 deg, d = 2.487 Å, I = 25, hkl 1 0 3; 34.10 deg, d = 2.629 Å, I = 24, hkl 1 0 2; 32.83 deg, d = 2.728 Å, I = 24, hkl 1 0 1; 42.04 deg, d = 2.149 Å, I = 22, hkl 1 0 5; 45.73 deg, d = 1.984 Å, I = 17, hkl 1 0 6; 32.40 deg, d = 2.763 Å, I = 12, hkl 1 0 0; 49.82 deg, d = 1.830 Å, I = 12, hkl 1 0 7